The following is a theoretical PXRD pattern of SrLi2Ta2O7. It was derived from a structure optimized by DFT (GGA-PBE), using Cu Kα, 1.54184 Å.
Intensities are scaled so that the largest is 100.

Principal peaks in the range 2θ from 5° to 70°, low angle first:
Position (°2θ)  intensity
9.6  48
19.3  45
22.8  72
26.7  100
31.8  66
33.1  89
45.5  44
51.3  28
53.6  29
57.5  40

Cell and atoms:
Cell: 9.627 9.627 5.631 Å, 90.00 90.00 34.05°
Element x y z (fractional)
Sr 0.245 0.755 0.750
Sr 0.755 0.245 0.250
Li 0.242 0.242 0.000
Li 0.242 0.242 0.500
Li 0.758 0.758 0.000
Li 0.758 0.758 0.500
Ta 0.138 0.633 0.250
Ta 0.367 0.862 0.250
Ta 0.633 0.138 0.750
Ta 0.862 0.367 0.750
O 0.056 0.510 0.250
O 0.112 0.112 0.000
O 0.112 0.112 0.500
O 0.215 0.785 0.250
O 0.403 0.403 0.000
O 0.403 0.403 0.500
O 0.490 0.944 0.250
O 0.510 0.056 0.750
O 0.597 0.597 0.000
O 0.597 0.597 0.500
O 0.785 0.215 0.750
O 0.888 0.888 0.000
O 0.888 0.888 0.500
O 0.944 0.490 0.750